The following is a computed X-ray diffraction stick pattern of CeTlS14. It was derived from a crystal structure in Alexandria, relaxed with PBE, using Cu Ka.
Lines closer than 0.1° are merged.

Top 12 peaks for 2θ = 10–90°, sorted by position:
d/Å, Position (°2θ), I/Imax, h k l
8.269, 10.70, 26.8, 1 0 1
7.078, 12.51, 24.7, 0 2 0
6.683, 13.25, 70.3, 0 0 2
4.628, 19.18, 100.0, 2 1 1
4.223, 21.04, 30.0, 2 2 0
3.620, 24.60, 37.6, 1 3 2
3.547, 25.11, 23.8, 0 4 0
3.398, 26.23, 63.9, 2 3 1
3.240, 27.53, 26.3, 0 3 3
2.629, 34.10, 58.3, 4 0 0
2.620, 34.22, 26.8, 2 2 4
2.450, 36.68, 29.8, 4 0 2

Atomic structure:
Cell lengths 10.525, 14.156, 13.366 Å; angles 90.00, 90.00, 90.00 degrees
Space group Imma (No. 74)
One atom of each set of equivalent atoms:
Ce (0.250, 0.250, 0.250) (multiplicity 4)
Tl (0.000, 0.250, 0.659) (multiplicity 4)
S (0.000, 0.101, 0.394) (multiplicity 8)
S (0.000, 0.146, 0.247) (multiplicity 8)
S (0.000, 0.179, 0.858) (multiplicity 8)
S (0.212, 0.018, 0.820) (multiplicity 16)
S (0.229, 0.101, 0.401) (multiplicity 16)